Starting from a crystal structure in the Materials Project, relaxed with GGA-PBE, the X-ray powder pattern of Fe3Cu was simulated for Cu Kα (weighted mean of Kα1 and Kα2).
Kinematic intensities with the Lorentz-polarization factor, no thermal factor.

Crystal structure
```
data_Fe3Cu
_cell_length_a 2.4655
_cell_length_b 2.4655
_cell_length_c 8.1999
_cell_angle_alpha 90.00
_cell_angle_beta 90.00
_cell_angle_gamma 108.94
_symmetry_space_group_name_H-M 'P 1'
_symmetry_Int_Tables_number 1
loop_
_symmetry_equiv_pos_as_xyz
'x,y,z'
loop_
_atom_site_label
_atom_site_type_symbol
_atom_site_fract_x
_atom_site_fract_y
_atom_site_fract_z
Fe1 Fe 0.0000 0.0000 0.0000
Fe2 Fe 0.5000 0.5000 0.2467
Fe3 Fe 0.5000 0.5000 0.7533
Cu1 Cu 0.0000 0.0000 0.5000
```

Largest 4 diffraction maxima, in order of falling intensity, 5 to 70 degrees two-theta:
2θ 44.71, d 2.027, rel. 100.0; 2θ 44.18, d 2.050, rel. 25.9; 2θ 45.19, d 2.006, rel. 24.2; 2θ 65.06, d 1.434, rel. 22.1